Structure and simulated PXRD pattern of Li2CrO4 (a DFT-relaxed cell (GGA+U, the Materials Project); a wavelength of 1.5418 Å).
Peak positions follow from Bragg's law for the DFT cell and can differ from measured ones.

Largest 6 diffraction maxima, low angle first, 2θ = 10–80°:
d_spacing, 2θ/deg, intensity, h k l
4.377, 20.29, 100, 0 2 1
4.230, 21.00, 95, 1 0 -2
4.028, 22.07, 60, 1 0 2
3.850, 23.10, 62, 1 2 -1
3.770, 23.60, 44, 1 2 1
3.321, 26.85, 41, 2 1 1

Crystal structure
```
data_Li2CrO4
_chemical_formula_sum 'Li16 Cr8 O32'
_cell_length_a 7.745
_cell_length_b 9.795
_cell_length_c 9.769
_cell_angle_alpha 90.00
_cell_angle_beta 93.11
_cell_angle_gamma 90.00
_symmetry_space_group_name_H-M 'P 1'
_symmetry_Int_Tables_number 1
_symmetry_space_group_name_Hall 'P 1'
loop_
_atom_site_label
_atom_site_fract_x
_atom_site_fract_y
_atom_site_fract_z
_atom_site_occupancy
Li1 0.000 0.094 0.000 1
Li2 0.000 0.906 0.500 1
Li3 0.364 0.095 0.199 1
Li4 0.364 0.905 0.699 1
Li5 0.376 0.342 0.926 1
Li6 0.376 0.658 0.426 1
Li7 0.584 0.396 0.710 1
Li8 0.584 0.604 0.210 1
Li9 0.612 0.372 0.438 1
Li10 0.612 0.628 0.938 1
Li11 0.661 0.121 0.784 1
Li12 0.661 0.879 0.284 1
Li13 0.934 0.117 0.251 1
Li14 0.934 0.883 0.751 1
Li15 0.960 0.391 0.265 1
Li16 0.960 0.609 0.765 1
Cr1 0.087 0.135 0.720 1
Cr2 0.087 0.865 0.220 1
Cr3 0.305 0.379 0.218 1
Cr4 0.305 0.621 0.718 1
Cr5 0.653 0.115 0.468 1
Cr6 0.653 0.885 0.968 1
Cr7 0.791 0.374 0.983 1
Cr8 0.791 0.626 0.483 1
O1 0.020 0.246 0.609 1
O2 0.020 0.754 0.109 1
O3 0.150 0.012 0.143 1
O4 0.150 0.988 0.643 1
O5 0.173 0.288 0.309 1
O6 0.173 0.712 0.809 1
O7 0.192 0.482 0.118 1
O8 0.192 0.518 0.618 1
O9 0.241 0.199 0.825 1
O10 0.241 0.801 0.325 1
O11 0.413 0.272 0.120 1
O12 0.413 0.728 0.620 1
O13 0.447 0.475 0.321 1
O14 0.447 0.525 0.821 1
O15 0.516 0.034 0.356 1
O16 0.516 0.966 0.856 1
O17 0.555 0.218 0.577 1
O18 0.555 0.782 0.077 1
O19 0.638 0.292 0.885 1
O20 0.638 0.708 0.385 1
O21 0.697 0.494 0.075 1
O22 0.697 0.506 0.575 1
O23 0.765 0.001 0.057 1
O24 0.765 0.999 0.557 1
O25 0.773 0.218 0.375 1
O26 0.773 0.782 0.875 1
O27 0.906 0.269 0.088 1
O28 0.906 0.731 0.588 1
O29 0.915 0.451 0.877 1
O30 0.915 0.549 0.377 1
O31 0.918 0.082 0.814 1
O32 0.918 0.918 0.314 1
```


Structure and simulated PXRD pattern of Li4MnNi4O10 (a DFT-relaxed cell (GGA+U, the Materials Project); a wavelength of 1.5418 Å).
Peak positions follow from Bragg's law for the DFT cell and can differ from measured ones.

Largest 6 diffraction maxima, low angle first, 2θ = 10–80°:
d_spacing, 2θ/deg, intensity, h k l
4.781, 18.56, 100, 0 1 1
2.467, 36.43, 26, 2 -1 1
2.462, 36.49, 13, 2 0 -3
2.363, 38.09, 14, 2 1 -2
2.059, 43.97, 21, 0 3 -2
2.048, 44.21, 42, 2 0 2

Crystal structure
```
data_Li4MnNi4O10
_chemical_formula_sum 'Li8 Mn2 Ni8 O20'
_cell_length_a 5.774
_cell_length_b 6.529
_cell_length_c 10.017
_cell_angle_alpha 96.98
_cell_angle_beta 106.72
_cell_angle_gamma 102.78
_symmetry_space_group_name_H-M 'P 1'
_symmetry_Int_Tables_number 1
_symmetry_space_group_name_Hall 'P 1'
loop_
_atom_site_label
_atom_site_fract_x
_atom_site_fract_y
_atom_site_fract_z
_atom_site_occupancy
Li1 0.000 0.000 0.000 1
Li2 0.107 0.591 0.405 1
Li3 0.203 0.209 0.795 1
Li4 0.303 0.790 0.204 1
Li5 0.500 0.000 0.000 1
Li6 0.697 0.210 0.796 1
Li7 0.797 0.791 0.205 1
Li8 0.893 0.409 0.595 1
Mn1 0.000 0.000 0.500 1
Mn2 0.500 0.000 0.500 1
Ni1 0.100 0.597 0.903 1
Ni2 0.206 0.212 0.304 1
Ni3 0.301 0.796 0.703 1
Ni4 0.404 0.406 0.103 1
Ni5 0.596 0.594 0.897 1
Ni6 0.699 0.204 0.297 1
Ni7 0.794 0.788 0.696 1
Ni8 0.900 0.403 0.097 1
O1 0.017 0.271 0.440 1
O2 0.047 0.323 0.956 1
O3 0.151 0.868 0.850 1
O4 0.160 0.914 0.364 1
O5 0.217 0.488 0.230 1
O6 0.235 0.507 0.769 1
O7 0.340 0.093 0.635 1
O8 0.372 0.133 0.155 1
O9 0.431 0.674 0.043 1
O10 0.443 0.733 0.560 1
O11 0.557 0.267 0.440 1
O12 0.569 0.326 0.957 1
O13 0.628 0.867 0.845 1
O14 0.660 0.907 0.365 1
O15 0.765 0.493 0.231 1
O16 0.783 0.512 0.770 1
O17 0.840 0.086 0.636 1
O18 0.849 0.132 0.150 1
O19 0.953 0.677 0.044 1
O20 0.983 0.729 0.560 1
```


Structure and simulated PXRD pattern of Li2Ti3FeO8 (a DFT-relaxed cell (GGA+U, the Materials Project); a wavelength of 1.5418 Å).
Peak positions follow from Bragg's law for the DFT cell and can differ from measured ones.

Largest 6 diffraction maxima, low angle first, 2θ = 10–80°:
d_spacing, 2θ/deg, intensity, h k l
4.935, 17.97, 64, 0 2 0
4.569, 19.43, 100, -1 1 1
2.548, 35.22, 64, 2 -2 0
2.284, 39.45, 43, 2 2 2
2.029, 44.66, 57, 2 -3 2
1.567, 58.93, 51, 2 5 2

Crystal structure
```
data_Li2Ti3FeO8
_chemical_formula_sum 'Li8 Ti12 Fe4 O32'
_cell_length_a 5.961
_cell_length_b 9.870
_cell_length_c 10.292
_cell_angle_alpha 90.02
_cell_angle_beta 90.05
_cell_angle_gamma 90.02
_symmetry_space_group_name_H-M 'P 1'
_symmetry_Int_Tables_number 1
_symmetry_space_group_name_Hall 'P 1'
loop_
_atom_site_label
_atom_site_fract_x
_atom_site_fract_y
_atom_site_fract_z
_atom_site_occupancy
Li1 0.000 0.000 0.000 1
Li2 0.000 0.109 0.333 1
Li3 0.000 0.500 0.667 1
Li4 0.499 0.109 0.833 1
Li5 0.500 0.500 0.167 1
Li6 0.500 0.609 0.834 1
Li7 0.501 0.000 0.500 1
Li8 0.999 0.609 0.334 1
Ti1 0.000 0.826 0.501 1
Ti2 0.246 0.324 0.919 1
Ti3 0.246 0.825 0.749 1
Ti4 0.252 0.324 0.418 1
Ti5 0.253 0.824 0.249 1
Ti6 0.499 0.826 0.001 1
Ti7 0.500 0.326 0.666 1
Ti8 0.746 0.325 0.418 1
Ti9 0.747 0.825 0.249 1
Ti10 0.753 0.325 0.918 1
Ti11 0.753 0.824 0.749 1
Ti12 0.999 0.326 0.166 1
Fe1 0.001 0.103 0.666 1
Fe2 0.500 0.103 0.165 1
Fe3 0.500 0.602 0.502 1
Fe4 0.999 0.603 0.002 1
O1 0.000 0.216 0.000 1
O2 0.000 0.437 0.852 1
O3 0.000 0.716 0.667 1
O4 0.000 0.925 0.333 1
O5 0.000 0.937 0.816 1
O6 0.001 0.217 0.491 1
O7 0.225 0.436 0.075 1
O8 0.226 0.935 0.591 1
O9 0.234 0.219 0.256 1
O10 0.234 0.718 0.411 1
O11 0.265 0.218 0.755 1
O12 0.266 0.718 0.911 1
O13 0.275 0.436 0.575 1
O14 0.275 0.936 0.092 1
O15 0.499 0.937 0.315 1
O16 0.500 0.215 0.500 1
O17 0.500 0.217 0.991 1
O18 0.500 0.425 0.834 1
O19 0.500 0.437 0.352 1
O20 0.500 0.716 0.167 1
O21 0.500 0.925 0.833 1
O22 0.501 0.717 0.676 1
O23 0.726 0.435 0.576 1
O24 0.726 0.935 0.092 1
O25 0.733 0.218 0.756 1
O26 0.734 0.718 0.912 1
O27 0.765 0.218 0.255 1
O28 0.765 0.719 0.412 1
O29 0.774 0.435 0.076 1
O30 0.776 0.937 0.592 1
O31 0.999 0.425 0.334 1
O32 0.999 0.717 0.176 1
```